(1)
Structure and calculated XRD peak list of K3P2AuSe8 (a crystal structure in the Materials Project, relaxed with PBE; a wavelength of 1.5418 Å).

Cell and atoms:
Cell: 7.2292 12.7671 18.9099 Å, 90.00 96.34 90.00°
Space group Cc (No. 9)
Inequivalent atoms, fractional coordinates:
K 0.0000 0.0690 0.0000 (multiplicity 4)
K 0.1236 0.2739 0.7926 (multiplicity 4)
K 0.1435 0.3931 0.1486 (multiplicity 4)
P 0.0615 0.0637 0.2707 (multiplicity 4)
P 0.4823 0.2679 0.0188 (multiplicity 4)
Au 0.4312 0.0482 0.8936 (multiplicity 4)
Se 0.0171 0.4097 0.5195 (multiplicity 4)
Se 0.0966 0.1585 0.6180 (multiplicity 4)
Se 0.1080 0.2195 0.3337 (multiplicity 4)
Se 0.2011 0.3157 0.9783 (multiplicity 4)
Se 0.2117 0.1689 0.4528 (multiplicity 4)
Se 0.3543 0.0019 0.7678 (multiplicity 4)
Se 0.3743 0.4544 0.3153 (multiplicity 4)
Se 0.4400 0.3557 0.6749 (multiplicity 4)

Principal peaks in the range 10° ≤ 2θ ≤ 90°, low angle first:
2θ 14.5, intensity 27; 2θ 16.2, intensity 51; 2θ 27.5, intensity 24; 2θ 28.4, intensity 100; 2θ 28.5, intensity 49; 2θ 29.2, intensity 50; 2θ 29.6, intensity 24; 2θ 30.7, intensity 35; 2θ 31.8, intensity 27; 2θ 33.2, intensity 41

---

(2)
Structure and calculated XRD peak list of K2RbTlF6 (a crystal structure in the Materials Project, relaxed with PBE; a wavelength of 1.5418 Å).

Cell and atoms:
Cell: 9.6382 9.6382 9.6382 Å, 90.00 90.00 90.00°
Space group Fm-3m (No. 225)
Inequivalent atoms, fractional coordinates:
K 0.2500 0.2500 0.2500 (multiplicity 8)
Rb 0.0000 0.0000 0.0000 (multiplicity 4)
Tl 0.0000 0.0000 0.5000 (multiplicity 4)
F 0.0000 0.0000 0.2728 (multiplicity 24)

Principal peaks in the range 10° ≤ 2θ ≤ 90°, low angle first:
2θ 15.9, intensity 32; 2θ 18.4, intensity 62; 2θ 26.2, intensity 100; 2θ 37.3, intensity 41; 2θ 41.9, intensity 30; 2θ 46.1, intensity 41; 2θ 53.8, intensity 26; 2θ 57.4, intensity 15; 2θ 60.8, intensity 20; 2θ 73.5, intensity 22

---

(3)
Structure and calculated XRD peak list of LaN (a crystal structure in the Materials Project, relaxed with PBE; a wavelength of 1.5418 Å).

Cell and atoms:
Cell: 5.3091 5.3091 5.3091 Å, 90.00 90.00 90.00°
Space group Fm-3m (No. 225)
Inequivalent atoms, fractional coordinates:
La 0.0000 0.0000 0.0000 (multiplicity 4)
N 0.0000 0.0000 0.5000 (multiplicity 4)

Principal peaks in the range 10° ≤ 2θ ≤ 90°, low angle first:
2θ 29.1, intensity 100; 2θ 33.8, intensity 77; 2θ 48.5, intensity 54; 2θ 57.6, intensity 46; 2θ 60.4, intensity 18; 2θ 71.0, intensity 8; 2θ 78.5, intensity 19; 2θ 81.0, intensity 23

---

(4)
Structure and calculated XRD peak list of BaCeSn2Se6 (a crystal structure in the Materials Project, relaxed with PBE; a wavelength of 1.5418 Å).

Cell and atoms:
Cell: 4.2897 20.4533 12.5296 Å, 90.00 90.00 90.00°
Space group Pmc2_1 (No. 26)
Inequivalent atoms, fractional coordinates:
Ba 0.0000 0.0788 0.0000 (multiplicity 2)
Ba 0.0000 0.3601 0.4353 (multiplicity 2)
Ce 0.0000 0.1188 0.3646 (multiplicity 2)
Ce 0.0000 0.4190 0.0575 (multiplicity 2)
Sn 0.0000 0.2543 0.7847 (multiplicity 2)
Sn 0.5000 0.0930 0.6781 (multiplicity 2)
Sn 0.5000 0.2480 0.1804 (multiplicity 2)
Sn 0.5000 0.4242 0.7276 (multiplicity 2)
Se 0.0000 0.0130 0.7470 (multiplicity 2)
Se 0.0000 0.1702 0.5983 (multiplicity 2)
Se 0.0000 0.2621 0.0544 (multiplicity 2)
Se 0.0000 0.4958 0.7756 (multiplicity 2)
Se 0.5000 0.0420 0.4709 (multiplicity 2)
Se 0.5000 0.1166 0.1887 (multiplicity 2)
Se 0.5000 0.1665 0.8609 (multiplicity 2)
Se 0.5000 0.2301 0.3910 (multiplicity 2)
Se 0.5000 0.3117 0.6317 (multiplicity 2)
Se 0.5000 0.3599 0.9204 (multiplicity 2)
Se 0.5000 0.3793 0.2201 (multiplicity 2)
Se 0.5000 0.4777 0.5241 (multiplicity 2)

Principal peaks in the range 10° ≤ 2θ ≤ 90°, low angle first:
2θ 25.5, intensity 65; 2θ 30.2, intensity 39; 2θ 30.7, intensity 66; 2θ 31.0, intensity 100; 2θ 31.1, intensity 32; 2θ 31.4, intensity 32; 2θ 33.5, intensity 53; 2θ 35.5, intensity 43; 2θ 36.6, intensity 45; 2θ 42.1, intensity 70